Diffraction record for Ta9VO25. The powder diffractogram is computed, not measured: it uses DFT lattice parameters and positions (PBE+U) and copper Kα.
Kinematic intensities with the Lorentz-polarization factor, no thermal factor.

Top 10 peaks for 2θ from 5° to 70°, sorted by position:
| d/Å | I/Imax |
| --- | --- |
| 5.033 | 32 |
| 3.752 | 48 |
| 3.559 | 100 |
| 3.394 | 21 |
| 2.906 | 44 |
| 2.730 | 37 |
| 2.516 | 25 |
| 2.347 | 27 |
| 1.758 | 23 |
| 1.697 | 21 |

Cell and atoms:
abc: 11.4185 11.4185 11.4185
angles: 91.64 91.64 160.53
Positions (direct):
Ta  0.0000  0.0000  0.0000
Ta  0.1006  0.7781  0.8824
Ta  0.1159  0.3193  0.4416
Ta  0.2219  0.1043  0.3225
Ta  0.3257  0.8841  0.2034
Ta  0.6807  0.1223  0.7966
Ta  0.7818  0.8994  0.6775
Ta  0.8777  0.6743  0.5584
Ta  0.8957  0.2182  0.1176
V  0.2500  0.7500  0.5000
O  0.0072  0.2725  0.2896
O  0.0519  0.8845  0.9366
O  0.0827  0.4522  0.5130
O  0.1155  0.0521  0.1674
O  0.1569  0.6458  0.8076
O  0.1830  0.2223  0.3917
O  0.2087  0.8170  0.0393
O  0.2504  0.3903  0.6352
O  0.2824  0.9928  0.2653
O  0.3542  0.1619  0.5111
O  0.3847  0.7496  0.1398
O  0.4303  0.9173  0.3695
O  0.5000  0.5000  0.0000
O  0.5478  0.0608  0.6305
O  0.6097  0.2449  0.8602
O  0.6508  0.8431  0.4889
O  0.7275  0.0171  0.7347
O  0.7551  0.6153  0.3648
O  0.7777  0.1694  0.9607
O  0.8306  0.7913  0.6083
O  0.8381  0.3492  0.1924
O  0.8847  0.9481  0.8326
O  0.9392  0.5697  0.4870
O  0.9479  0.1153  0.0634
O  0.9829  0.7176  0.7104